The following is a computed powder diffractogram of Li19Co4O16. It was derived from a cell relaxed with PBE+U, using Cu Ka.
Kinematic intensities with the Lorentz-polarization factor, no thermal factor.

Top 6 peaks for 5° ≤ 2θ ≤ 70°, sorted by position:
d (Å)  Position (°2θ)  I (rel.)
5.093  17.41  100.0
4.180  21.25  83.8
4.136  21.48  60.9
3.476  25.62  57.2
3.426  26.01  56.8
2.546  35.25  36.8

Atomic structure:
Cell: 7.2030 6.6836 7.8650 Å, 90.00 90.99 90.00°
Element x y z (fractional)
Li 0.0000 0.0000 0.0000
Li 0.0097 0.5000 0.2107
Li 0.0298 0.5000 0.5181
Li 0.0776 0.0000 0.7308
Li 0.2458 0.2562 0.1530
Li 0.2458 0.7438 0.1530
Li 0.2757 0.3041 0.8347
Li 0.2757 0.6959 0.8347
Li 0.3070 0.2701 0.4653
Li 0.3070 0.7299 0.4653
Li 0.4364 0.0000 0.7657
Li 0.5281 0.0000 0.4514
Li 0.5377 0.5000 0.1825
Li 0.7297 0.2466 0.9503
Li 0.7297 0.7534 0.9503
Li 0.7729 0.2153 0.2887
Li 0.7729 0.7847 0.2887
Li 0.7920 0.2227 0.6411
Li 0.7920 0.7773 0.6411
Co 0.0509 0.0000 0.4169
Co 0.5017 0.0000 0.1344
Co 0.5439 0.5000 0.6671
Co 0.9818 0.5000 0.9055
O 0.0612 0.2620 0.3363
O 0.0612 0.7380 0.3363
O 0.2217 0.5000 0.0227
O 0.2653 0.0000 0.5650
O 0.2878 0.0000 0.9961
O 0.2945 0.5000 0.6261
O 0.4861 0.2301 0.2774
O 0.4861 0.7699 0.2774
O 0.5514 0.2526 0.7547
O 0.5514 0.7474 0.7547
O 0.7509 0.0000 0.0870
O 0.7588 0.5000 0.5627
O 0.7853 0.5000 0.0732
O 0.8014 0.0000 0.4871
O 0.9798 0.2402 0.8254
O 0.9798 0.7598 0.8254